(1)
For Th2BPO8, the PBE geometry in the Materials Project gives the calculated powder diffractogram in this record (Cu Kα (weighted mean of Kα1 and Kα2)).

Main lines, most intense first (2θ = 15–90°):
two_theta  Rel. int.
24.7  1000
29.2  1000
28.1  856
47.4  854
21.4  839
31.0  648
34.4  589
22.2  586
22.0  524
26.0  479

Cell and atoms:
a = 8.5555 Å, b = 8.0160 Å, c = 8.2999 Å
α = 90.00°, β = 103.52°, γ = 90.00°
Fractional positions:
1 Th 0.1826 0.1952 0.0422
2 Th 0.1826 0.3048 0.5422
3 Th 0.2408 0.6831 0.9226
4 Th 0.2408 0.8169 0.4226
5 Th 0.7592 0.1831 0.5774
6 Th 0.7592 0.3169 0.0774
7 Th 0.8174 0.6952 0.4578
8 Th 0.8174 0.8048 0.9578
9 B 0.0316 0.5584 0.2174
10 B 0.0316 0.9416 0.7174
11 B 0.9684 0.0584 0.2826
12 B 0.9684 0.4416 0.7826
13 P 0.4561 0.0458 0.7831
14 P 0.4561 0.4542 0.2831
15 P 0.5439 0.5458 0.7169
16 P 0.5439 0.9542 0.2169
17 O 0.0562 0.1076 0.6551
18 O 0.0562 0.3924 0.1551
19 O 0.0886 0.5658 0.4019
20 O 0.0886 0.9342 0.9019
21 O 0.1093 0.6987 0.1494
22 O 0.1093 0.8013 0.6494
23 O 0.1450 0.0866 0.3224
24 O 0.1450 0.4134 0.8224
25 O 0.3576 0.5757 0.6729
26 O 0.3576 0.9243 0.1729
27 O 0.3664 0.1892 0.8466
28 O 0.3664 0.3108 0.3466
29 O 0.3888 0.0481 0.5917
30 O 0.3888 0.4519 0.0917
31 O 0.4291 0.6264 0.3531
32 O 0.4291 0.8736 0.8531
33 O 0.5709 0.1264 0.1469
34 O 0.5709 0.3736 0.6469
35 O 0.6112 0.5481 0.9083
36 O 0.6112 0.9519 0.4083
37 O 0.6336 0.6892 0.6534
38 O 0.6336 0.8108 0.1534
39 O 0.6424 0.0757 0.8271
40 O 0.6424 0.4243 0.3271
41 O 0.8550 0.5866 0.1776
42 O 0.8550 0.9134 0.6776
43 O 0.8907 0.1987 0.3506
44 O 0.8907 0.3013 0.8506
45 O 0.9114 0.0658 0.0981
46 O 0.9114 0.4342 0.5981
47 O 0.9438 0.6076 0.8449
48 O 0.9438 0.8924 0.3449

=====

(2)
For Ba2LaSbO6, the PBE geometry in the Materials Project gives the calculated powder diffractogram in this record (Cu Kα (weighted mean of Kα1 and Kα2)).

Main lines, most intense first (2θ = 15–90°):
two_theta  Rel. int.
28.9  1000
51.2  408
41.3  295
82.7  216
59.9  184
67.9  183
75.4  60
89.8  29
35.6  16
20.3  5

Cell and atoms:
a = 8.7340 Å, b = 8.7340 Å, c = 8.7340 Å
α = 90.00°, β = 90.00°, γ = 90.00°
Fractional positions:
1 Ba 0.2500 0.2500 0.2500
2 Ba 0.2500 0.2500 0.7500
3 Ba 0.2500 0.7500 0.2500
4 Ba 0.2500 0.7500 0.7500
5 Ba 0.7500 0.2500 0.2500
6 Ba 0.7500 0.2500 0.7500
7 Ba 0.7500 0.7500 0.2500
8 Ba 0.7500 0.7500 0.7500
9 La 0.0000 0.0000 0.0000
10 La 0.0000 0.5000 0.5000
11 La 0.5000 0.0000 0.5000
12 La 0.5000 0.5000 0.0000
13 Sb 0.0000 0.0000 0.5000
14 Sb 0.0000 0.5000 0.0000
15 Sb 0.5000 0.0000 0.0000
16 Sb 0.5000 0.5000 0.5000
17 O 0.0096 0.5109 0.7696
18 O 0.0096 0.9891 0.7304
19 O 0.0109 0.2304 0.5096
20 O 0.0109 0.2696 0.9904
21 O 0.2304 0.5096 0.0109
22 O 0.2304 0.9904 0.4891
23 O 0.2696 0.5096 0.4891
24 O 0.2696 0.9904 0.0109
25 O 0.4891 0.2304 0.9904
26 O 0.4891 0.2696 0.5096
27 O 0.4904 0.5109 0.7304
28 O 0.4904 0.9891 0.7696
29 O 0.5096 0.0109 0.2304
30 O 0.5096 0.4891 0.2696
31 O 0.5109 0.7304 0.4904
32 O 0.5109 0.7696 0.0096
33 O 0.7304 0.0096 0.9891
34 O 0.7304 0.4904 0.5109
35 O 0.7696 0.0096 0.5109
36 O 0.7696 0.4904 0.9891
37 O 0.9891 0.7304 0.0096
38 O 0.9891 0.7696 0.4904
39 O 0.9904 0.0109 0.2696
40 O 0.9904 0.4891 0.2304

=====

(3)
For KPr5C2Cl10, the PBE geometry in the Materials Project gives the calculated powder diffractogram in this record (Cu Kα (weighted mean of Kα1 and Kα2)).

Main lines, most intense first (2θ = 15–90°):
two_theta  Rel. int.
36.1  1000
23.7  756
21.4  697
36.5  583
23.4  462
43.7  428
32.3  424
31.8  376
53.6  262
35.4  232

Cell and atoms:
a = 8.6158 Å, b = 8.6158 Å, c = 15.2112 Å
α = 90.00°, β = 90.00°, γ = 120.00°
Fractional positions:
1 K 0.0000 0.0000 0.0000
2 K 0.0000 0.0000 0.5000
3 Pr 0.0351 0.4177 0.1997
4 Pr 0.3333 0.6667 0.0003
5 Pr 0.3333 0.6667 0.4008
6 Pr 0.3827 0.9649 0.1997
7 Pr 0.4177 0.3827 0.6997
8 Pr 0.5823 0.6173 0.1997
9 Pr 0.6173 0.0351 0.6997
10 Pr 0.6667 0.3333 0.5003
11 Pr 0.6667 0.3333 0.9008
12 Pr 0.9649 0.5823 0.6997
13 C 0.3333 0.6667 0.1535
14 C 0.3333 0.6667 0.2485
15 C 0.6667 0.3333 0.6535
16 C 0.6667 0.3333 0.7485
17 Cl 0.0055 0.6529 0.5141
18 Cl 0.0087 0.2521 0.7001
19 Cl 0.0153 0.6567 0.8841
20 Cl 0.2433 0.9913 0.7001
21 Cl 0.2521 0.2433 0.2001
22 Cl 0.3333 0.6667 0.6561
23 Cl 0.3433 0.3586 0.8841
24 Cl 0.3471 0.3526 0.5141
25 Cl 0.3526 0.0055 0.0141
26 Cl 0.3586 0.0153 0.3841
27 Cl 0.6414 0.9847 0.8841
28 Cl 0.6474 0.9945 0.5141
29 Cl 0.6529 0.6474 0.0141
30 Cl 0.6567 0.6414 0.3841
31 Cl 0.6667 0.3333 0.1561
32 Cl 0.7479 0.7567 0.7001
33 Cl 0.7567 0.0087 0.2001
34 Cl 0.9847 0.3433 0.3841
35 Cl 0.9913 0.7479 0.2001
36 Cl 0.9945 0.3471 0.0141

=====

(4)
For Hg5Se2O8, the PBE geometry in the Materials Project gives the calculated powder diffractogram in this record (Cu Kα (weighted mean of Kα1 and Kα2)).

Main lines, most intense first (2θ = 15–90°):
two_theta  Rel. int.
31.1  1000
23.5  600
18.2  345
29.9  331
26.8  212
22.3  200
28.4  194
34.4  191
28.7  169
32.8  158

Cell and atoms:
a = 9.5834 Å, b = 9.5834 Å, c = 19.5153 Å
α = 90.41°, β = 90.41°, γ = 38.84°
Fractional positions:
1 Hg 0.0140 0.4871 0.2523
2 Hg 0.0671 0.0684 0.7741
3 Hg 0.0684 0.0671 0.2741
4 Hg 0.0711 0.2780 0.5358
5 Hg 0.1380 0.3098 0.9263
6 Hg 0.1847 0.7823 0.9966
7 Hg 0.2177 0.8153 0.5034
8 Hg 0.2780 0.0711 0.0358
9 Hg 0.3098 0.1380 0.4263
10 Hg 0.4871 0.0140 0.7523
11 Hg 0.5129 0.9860 0.2477
12 Hg 0.6902 0.8620 0.5737
13 Hg 0.7220 0.9289 0.9642
14 Hg 0.7823 0.1847 0.4966
15 Hg 0.8153 0.2177 0.0034
16 Hg 0.8620 0.6902 0.0737
17 Hg 0.9289 0.7220 0.4642
18 Hg 0.9316 0.9329 0.7259
19 Hg 0.9329 0.9316 0.2259
20 Hg 0.9860 0.5129 0.7477
21 Se 0.3846 0.3867 0.6414
22 Se 0.3867 0.3846 0.1414
23 Se 0.3998 0.4047 0.8737
24 Se 0.4047 0.3998 0.3737
25 Se 0.5953 0.6002 0.6263
26 Se 0.6002 0.5953 0.1263
27 Se 0.6133 0.6154 0.8586
28 Se 0.6154 0.6133 0.3586
29 O 0.1181 0.5931 0.3687
30 O 0.1471 0.5144 0.8723
31 O 0.1751 0.2061 0.7938
32 O 0.1989 0.6465 0.6124
33 O 0.2061 0.1751 0.2938
34 O 0.2274 0.6477 0.1217
35 O 0.2591 0.3390 0.1098
36 O 0.3390 0.2591 0.6098
37 O 0.3523 0.7726 0.3783
38 O 0.3535 0.8011 0.8876
39 O 0.3582 0.3953 0.7273
40 O 0.3953 0.3582 0.2273
41 O 0.4069 0.8819 0.1313
42 O 0.4235 0.4268 0.4613
43 O 0.4268 0.4235 0.9613
44 O 0.4856 0.8529 0.6277
45 O 0.5144 0.1471 0.3723
46 O 0.5732 0.5765 0.0387
47 O 0.5765 0.5732 0.5387
48 O 0.5931 0.1181 0.8687
49 O 0.6047 0.6418 0.7727
50 O 0.6418 0.6047 0.2727
51 O 0.6465 0.1989 0.1124
52 O 0.6477 0.2274 0.6217
53 O 0.6610 0.7409 0.3902
54 O 0.7409 0.6610 0.8902
55 O 0.7726 0.3523 0.8783
56 O 0.7939 0.8249 0.7062
57 O 0.8011 0.3535 0.3876
58 O 0.8249 0.7939 0.2062
59 O 0.8529 0.4856 0.1277
60 O 0.8819 0.4069 0.6313